Simulated powder diffraction line list of Tb12InPt6 for copper Kα, from a DFT-relaxed cell (PBE, Alexandria).

Crystal structure
Lattice parameters (Å, degrees): 10.028 10.028 10.028 90.00 90.00 90.00
Space group Im-3 (No. 204)
Asymmetric unit:
Tb  0.000  0.300  0.181
In  0.000  0.000  0.000
Pt  0.000  0.138  0.500

Peak list (10 most intense, 10 to 90 degrees two-theta, sorted by position)
| 2θ/deg | I_rel |
| --- | --- |
| 12.5 | 12 |
| 30.9 | 11 |
| 33.4 | 100 |
| 38.1 | 14 |
| 46.2 | 26 |
| 54.9 | 16 |
| 56.6 | 21 |
| 65.9 | 12 |
| 74.5 | 13 |
| 82.8 | 15 |